Diffraction record for YHfSc. The powder diffractogram is simulated, not measured: it uses a structure optimized by DFT (GGA-PBE) and Cu Kα (weighted mean of Kα1 and Kα2).
Intensities are scaled so that the largest is 100.

Crystal structure
abc: 3.263 18.986 5.068
angles: 90.00 90.00 90.00
Fractional positions:
1 Y 0.000 0.202 0.250
2 Y 0.000 0.798 0.750
3 Y 0.500 0.298 0.750
4 Y 0.500 0.702 0.250
5 Hf 0.000 0.035 0.250
6 Hf 0.000 0.965 0.750
7 Hf 0.500 0.465 0.750
8 Hf 0.500 0.535 0.250
9 Sc 0.000 0.394 0.250
10 Sc 0.000 0.606 0.750
11 Sc 0.500 0.106 0.750
12 Sc 0.500 0.894 0.250

Main lines, in order of rising 2θ (2θ = 10–90°):
2theta  I (rel.)  h k l
18.7  25  0 4 0
19.9  29  0 2 1
27.7  50  1 1 0
33.0  57  1 1 1
33.4  100  0 6 1
35.4  48  0 0 2
36.3  42  1 5 0
40.6  33  1 5 1
45.6  27  1 1 2
47.1  29  1 7 1
51.6  32  1 5 2
67.1  33  2 6 1